Entry 1:
Structure and simulated powder diffractogram of Ag2SbS2 (a structure optimized by DFT (GGA-PBE); copper Kα).
Intensities are scaled so that the largest is 100.

Atomic structure:
```
data_Ag2SbS2
_chemical_formula_sum 'Ag4 Sb2 S4'
_cell_length_a 4.6291
_cell_length_b 4.4737
_cell_length_c 11.3603
_cell_angle_alpha 90.00
_cell_angle_beta 101.22
_cell_angle_gamma 90.00
_space_group_name_H-M_alt 'P 1 21/m 1'
_space_group_IT_number 11
loop_
_space_group_symop_operation_xyz
'x,y,z'
'-x,-y,-z'
'-x,y+1/2,-z'
'x,-y+1/2,z'
loop_
_atom_site_label
_atom_site_fract_x
_atom_site_fract_y
_atom_site_fract_z
Ag1 0.0536 0.2500 0.2954
Ag2 0.1921 0.2500 0.5603
Sb1 0.2161 0.7500 0.0665
S1 0.2688 0.7500 0.3580
S2 0.3975 0.7500 0.8740
```

Most intense lines, 2θ from 10° to 90°, in order of rising 2θ:
Position (°2θ)  intensity  index
19.55  32  1 0 0
22.54  16  1 0 1
28.05  100  1 1 -1
30.20  25  1 1 1
31.30  82  0 1 3
34.32  57  1 0 -4
39.70  29  1 1 3
40.32  43  0 2 0
44.05  37  2 1 -1
46.01  15  2 0 2
46.42  13  2 0 -4
53.97  25  1 2 -4

=====

Entry 2:
Structure and simulated powder diffractogram of Nd2TiNiS5 (a structure optimized by DFT (GGA-PBE); copper Kα).
Intensities are scaled so that the largest is 100.

Atomic structure:
```
data_Nd2TiNiS5
_chemical_formula_sum 'Nd8 Ti4 Ni4 S20'
_cell_length_a 3.7561
_cell_length_b 16.6038
_cell_length_c 11.2747
_cell_angle_alpha 90.00
_cell_angle_beta 90.00
_cell_angle_gamma 90.00
_space_group_name_H-M_alt 'C m c 21'
_space_group_IT_number 36
loop_
_space_group_symop_operation_xyz
'x,y,z'
'-x,-y,z+1/2'
'-x,y,z'
'x,-y,z+1/2'
'x+1/2,y+1/2,z'
'-x+1/2,-y+1/2,z+1/2'
'-x+1/2,y+1/2,z'
'x+1/2,-y+1/2,z+1/2'
loop_
_atom_site_label
_atom_site_fract_x
_atom_site_fract_y
_atom_site_fract_z
Nd1 0.0000 0.1133 0.0000
Nd2 0.0000 0.1262 0.6202
Ti1 0.0000 0.1855 0.3177
Ni1 0.0000 0.4244 0.7503
S1 0.0000 0.0481 0.3541
S2 0.0000 0.2902 0.9687
S3 0.0000 0.3046 0.6686
S4 0.0000 0.3458 0.3130
S5 0.0000 0.4993 0.0871
```

Most intense lines, 2θ from 10° to 90°, in order of rising 2θ:
Position (°2θ)  intensity  index
21.41  58  0 4 0
26.03  77  0 2 3
28.72  23  1 3 0
29.07  38  1 1 2
32.91  27  1 3 2
33.34  31  0 6 1
34.18  100  1 1 3
36.10  27  1 5 0
39.60  61  1 5 2
41.50  25  0 2 5
43.63  26  1 5 3
48.47  37  2 0 0

=====

Entry 3:
Structure and simulated powder diffractogram of CdC7 (a structure optimized by DFT (GGA-PBE); copper Kα).
Intensities are scaled so that the largest is 100.

Atomic structure:
```
data_CdC7
_chemical_formula_sum 'Cd4 C28'
_cell_length_a 6.7321
_cell_length_b 6.7321
_cell_length_c 6.7321
_cell_angle_alpha 90.00
_cell_angle_beta 90.00
_cell_angle_gamma 90.00
_space_group_name_H-M_alt 'F m -3 m'
_space_group_IT_number 225
_space_group_name_Hall '-F 4 2 3'
loop_
_atom_site_label
_atom_site_fract_x
_atom_site_fract_y
_atom_site_fract_z
Cd1 0.0000 0.0000 0.0000
C1 0.0000 0.0000 0.5000
C2 0.0000 0.2500 0.2500
```

Most intense lines, 2θ from 10° to 90°, in order of rising 2θ:
Position (°2θ)  intensity  index
22.88  100  1 1 1
26.48  53  2 0 0
37.80  42  2 2 0
44.64  53  3 1 1
46.74  44  2 2 2
54.52  20  4 0 0
59.89  21  3 3 1
61.61  20  4 2 0
68.25  14  4 2 2
73.03  16  5 1 1
80.75  11  4 4 0
85.29  16  5 3 1

=====

Entry 4:
Structure and simulated powder diffractogram of Rb3Tb3TmSe8 (a structure optimized by DFT (GGA-PBE); copper Kα).
Intensities are scaled so that the largest is 100.

Atomic structure:
```
data_Rb3Tb3TmSe8
_chemical_formula_sum 'Rb6 Tb6 Tm2 Se16'
_cell_length_a 14.4637
_cell_length_b 8.3463
_cell_length_c 9.5147
_cell_angle_alpha 90.00
_cell_angle_beta 120.50
_cell_angle_gamma 90.00
_space_group_name_H-M_alt 'C 1 2/m 1'
_space_group_IT_number 12
loop_
_space_group_symop_operation_xyz
'x,y,z'
'-x,-y,-z'
'-x,y,-z'
'x,-y,z'
'x+1/2,y+1/2,z'
'-x+1/2,-y+1/2,-z'
'-x+1/2,y+1/2,-z'
'x+1/2,-y+1/2,z'
loop_
_atom_site_label
_atom_site_fract_x
_atom_site_fract_y
_atom_site_fract_z
Rb1 0.0000 0.0000 0.0000
Rb2 0.2500 0.2500 0.0000
Tb1 0.0000 0.5000 0.5000
Tb2 0.2500 0.2500 0.5000
Tm1 0.0000 0.0000 0.5000
Se1 0.0182 0.2473 0.3077
Se2 0.2290 0.0000 0.6923
Se3 0.2323 0.5000 0.6965
```

Most intense lines, 2θ from 10° to 90°, in order of rising 2θ:
Position (°2θ)  intensity  index
10.79  53  0 0 1
28.65  100  4 0 0
35.63  19  2 2 -3
38.44  34  2 2 2
43.35  35  0 4 0
44.81  10  6 2 -3
47.83  11  2 2 3
52.79  18  4 4 0
59.31  10  8 0 0
63.63  9  6 2 2
70.62  15  10 2 -2
76.26  9  8 4 0

=====

Entry 5:
Structure and simulated powder diffractogram of Li2DyIn2Ag2 (a structure optimized by DFT (GGA-PBE); copper Kα).
Intensities are scaled so that the largest is 100.

Atomic structure:
```
data_Li2DyIn2Ag2
_chemical_formula_sum 'Li6 Dy3 In6 Ag6'
_cell_length_a 4.8259
_cell_length_b 4.8259
_cell_length_c 21.6012
_cell_angle_alpha 90.00
_cell_angle_beta 90.00
_cell_angle_gamma 120.00
_space_group_name_H-M_alt 'R -3 m'
_space_group_IT_number 166
_space_group_name_Hall '-R 3 2"'
loop_
_atom_site_label
_atom_site_fract_x
_atom_site_fract_y
_atom_site_fract_z
Li1 0.0000 0.0000 0.1424
Dy1 0.0000 0.0000 0.0000
In1 0.0000 0.0000 0.2692
Ag1 0.0000 0.0000 0.4252
```

Most intense lines, 2θ from 10° to 90°, in order of rising 2θ:
Position (°2θ)  intensity  index
12.29  47  0 0 3
24.73  12  0 0 6
26.98  49  1 0 4
29.74  15  0 1 5
36.18  88  1 0 7
37.26  100  1 1 0
39.38  17  1 1 3
45.24  14  1 1 6
52.92  29  0 2 7
64.59  13  1 1 12
66.50  28  2 1 7
67.20  17  3 0 0

=====

Entry 6:
Structure and simulated powder diffractogram of Nd3Er2Th4 (a structure optimized by DFT (GGA-PBE); copper Kα).
Intensities are scaled so that the largest is 100.

Atomic structure:
```
data_Nd3Er2Th4
_chemical_formula_sum 'Nd3 Er2 Th4'
_cell_length_a 6.2156
_cell_length_b 6.2304
_cell_length_c 9.4838
_cell_angle_alpha 71.12
_cell_angle_beta 71.26
_cell_angle_gamma 60.11
_space_group_name_H-M_alt 'P -1'
_space_group_IT_number 2
loop_
_space_group_symop_operation_xyz
'x,y,z'
'-x,-y,-z'
loop_
_atom_site_label
_atom_site_fract_x
_atom_site_fract_y
_atom_site_fract_z
Nd1 0.0000 0.0000 0.0000
Nd2 0.4443 0.1144 0.6686
Er1 0.2245 0.5581 0.3314
Th1 0.1026 0.7737 0.6682
Th2 0.3302 0.3382 0.0008
```

Most intense lines, 2θ from 10° to 90°, in order of rising 2θ:
Position (°2θ)  intensity  index
30.46  100  0 0 3
35.24  34  -1 1 2
35.48  17  2 1 3
50.69  12  0 3 1
50.85  18  1 -1 4
50.92  6  1 2 5
60.28  26  0 3 -2
60.61  14  3 0 4
63.37  9  0 0 6
82.60  5  1 -4 0
82.83  9  2 -2 5
85.18  6  -1 4 3